Entry 1:
Structure and calculated X-ray powder pattern of Sr2CdIn (a cell relaxed with PBE; Cu Kα X-rays).
Intensities are scaled so that the largest is 1000.

Structural model:
```
Sr2CdIn
1.0
5.772 0.000 0.000
0.000 7.967 0.000
0.000 0.000 5.773
Sr Cd In
4 2 2
Cartesian
1.443 0.000 1.427
1.443 3.983 1.427
4.329 7.967 4.346
4.329 3.983 4.346
1.443 1.992 4.298
4.329 5.975 1.475
1.443 5.975 4.301
4.329 1.992 1.472
```

Most intense lines, 2θ = 5–70°, sorted by position:
2θ/deg, I (rel.)
21.77, 23
22.32, 11
30.98, 517
31.38, 1000
44.39, 188
45.54, 87
55.36, 384
56.11, 185
64.58, 60
65.48, 115

---

Entry 2:
Structure and calculated X-ray powder pattern of Tm3Cd4In2 (a cell relaxed with PBE; Cu Kα X-rays).
Intensities are scaled so that the largest is 1000.

Structural model:
```
Tm3Cd4In2
1.0
5.470 -2.457 0.000
5.470 2.457 0.000
-4.491 0.000 8.067
Tm Cd In
3 4 2
Cartesian
0.000 0.000 0.000
2.174 0.000 2.662
4.274 0.000 5.405
-1.034 0.000 3.302
-1.128 0.000 7.769
7.576 0.000 0.298
7.482 0.000 4.766
1.019 0.000 5.862
5.429 0.000 2.205
```

Most intense lines, 2θ = 5–70°, sorted by position:
2θ/deg, I (rel.)
33.38, 948
33.53, 914
36.46, 1000
36.57, 498
50.30, 184
50.44, 297
63.85, 290
65.76, 173
66.30, 153
66.42, 147

---

Entry 3:
Structure and calculated X-ray powder pattern of Zr3Cd2In2 (a cell relaxed with PBE; Cu Kα X-rays).
Intensities are scaled so that the largest is 1000.

Structural model:
```
Zr3Cd2In2
1.0
2.462 1.421 8.125
-2.462 1.421 8.125
0.000 -2.842 8.125
Zr Cd In
3 2 2
Cartesian
0.000 0.000 0.000
0.000 0.000 6.145
0.000 0.000 12.285
0.000 0.000 2.995
0.000 0.000 15.429
0.000 0.000 9.287
0.000 0.000 21.223
```

Most intense lines, 2θ = 5–70°, sorted by position:
2θ/deg, I (rel.)
10.89, 54
25.50, 148
27.80, 66
33.22, 81
36.24, 975
36.50, 1000
52.38, 328
65.01, 145
65.53, 326
65.70, 169

---

Entry 4:
Structure and calculated X-ray powder pattern of Cd2Ir7 (a cell relaxed with PBE; Cu Kα X-rays).
Intensities are scaled so that the largest is 1000.

Structural model:
```
Cd2Ir7
1.0
2.763 0.000 0.000
-1.381 2.393 0.000
0.000 0.000 32.670
Cd Ir
2 7
Cartesian
0.000 1.595 7.193
1.381 0.798 25.477
0.000 0.000 9.706
0.000 0.000 16.335
0.000 0.000 22.964
0.000 1.595 14.105
0.000 1.595 20.774
1.381 0.798 11.896
1.381 0.798 18.565
```

Most intense lines, 2θ = 5–70°, sorted by position:
2θ/deg, I (rel.)
5.41, 292
8.12, 208
38.58, 256
39.23, 459
40.13, 1000
41.21, 195
41.46, 241
45.40, 394
47.08, 578
67.87, 351

---

Entry 5:
Structure and calculated X-ray powder pattern of Cd2Ir9 (a cell relaxed with PBE; Cu Kα X-rays).
Intensities are scaled so that the largest is 1000.

Structural model:
```
Cd2Ir9
1.0
2.759 0.000 0.000
-1.380 2.389 0.000
0.000 0.000 33.895
Cd Ir
2 9
Cartesian
0.000 1.593 11.396
1.380 0.796 22.499
0.000 0.000 0.000
0.000 0.000 6.664
0.000 0.000 27.231
0.000 1.593 4.449
0.000 1.593 25.029
0.000 1.593 31.673
1.380 0.796 2.222
1.380 0.796 8.866
1.380 0.796 29.446
```

Most intense lines, 2θ = 5–70°, sorted by position:
2θ/deg, I (rel.)
5.21, 1000
39.17, 106
39.90, 258
40.01, 833
41.01, 165
42.68, 71
46.50, 525
48.19, 126
67.79, 158
67.97, 234

---

Entry 6:
Structure and calculated X-ray powder pattern of CdIr17 (a cell relaxed with PBE; Cu Kα X-rays).
Intensities are scaled so that the largest is 1000.

Structural model:
```
CdIr17
1.0
5.450 0.000 0.000
-2.725 4.719 0.000
0.000 0.000 33.296
Cd Ir
2 34
Cartesian
0.000 3.146 9.754
2.725 1.573 23.542
0.000 0.000 0.000
0.000 0.000 6.743
0.000 0.000 26.553
-1.362 2.360 0.000
-1.352 2.366 6.713
0.000 1.574 4.483
0.000 1.573 24.409
0.000 1.576 31.052
-1.362 3.932 4.483
-1.363 3.933 24.409
-1.360 3.932 31.052
1.362 0.786 8.887
1.363 0.787 28.813
0.000 3.146 2.235
0.000 3.146 28.821
1.365 0.788 2.244
1.352 2.366 6.713
0.000 4.707 6.713
2.725 0.000 0.000
1.362 2.360 0.000
2.725 0.012 26.583
1.373 2.354 26.583
1.360 3.932 31.052
2.725 1.573 4.475
2.725 1.573 31.061
1.362 3.932 4.483
1.363 3.933 24.409
4.085 0.788 2.244
4.088 0.786 8.887
4.086 0.787 28.813
2.725 3.144 2.244
2.725 3.147 8.887
2.725 3.146 28.813
4.077 2.354 26.583
```

Most intense lines, 2θ = 5–70°, sorted by position:
2θ/deg, I (rel.)
5.31, 574
7.97, 130
37.83, 120
39.70, 272
40.58, 1000
41.59, 171
45.60, 209
47.21, 475
68.95, 256
69.04, 143

---

Entry 7:
Structure and calculated X-ray powder pattern of Cd41Ir8 (a cell relaxed with PBE; Cu Kα X-rays).
Intensities are scaled so that the largest is 1000.

Structural model:
```
Cd41Ir8
1.0
7.480 4.319 5.367
-7.480 4.319 5.367
0.000 -8.638 5.367
Cd Ir
41 8
Cartesian
0.000 0.000 0.000
-3.740 -2.159 5.367
-1.355 -2.411 3.507
-5.095 -4.146 8.857
-2.821 -4.458 6.985
-0.382 -4.582 5.297
-6.138 2.339 7.244
-3.777 2.622 5.297
-1.410 2.379 3.507
-5.271 0.214 9.115
-1.784 0.114 5.458
-2.806 -1.398 8.093
1.044 -6.485 7.244
-4.160 -1.960 10.804
0.793 -1.602 5.458
-0.192 -3.129 8.008
-2.613 1.731 8.008
2.765 0.032 3.507
-2.450 4.672 6.985
0.991 1.488 5.458
-3.740 2.159 10.734
0.000 4.319 5.367
0.000 0.000 8.050
-0.991 -1.488 10.643
2.450 -4.672 9.115
-2.765 -0.032 12.594
2.613 -1.731 8.093
0.192 3.129 8.093
-0.793 1.602 10.643
4.160 1.960 5.297
-1.044 6.485 8.857
2.806 1.398 8.008
1.784 -0.114 10.643
5.271 -0.214 6.985
1.410 -2.379 12.594
3.777 -2.622 10.804
6.138 -2.339 8.857
0.383 4.582 10.804
2.821 4.458 9.115
5.095 4.146 7.244
1.355 2.411 12.594
-4.506 0.256 6.483
0.000 0.000 3.137
-2.475 -3.774 9.618
2.031 -4.030 6.483
-2.031 4.030 9.618
2.475 3.774 6.483
0.000 0.000 12.964
4.506 -0.256 9.618
```

Most intense lines, 2θ = 5–70°, sorted by position:
2θ/deg, I (rel.)
20.37, 492
20.56, 439
35.90, 538
37.14, 380
37.50, 483
37.62, 537
39.11, 378
39.51, 499
41.41, 1000
41.83, 710

---

Entry 8:
Structure and calculated X-ray powder pattern of La2CdP2IrO2 (a cell relaxed with PBE; Cu Kα X-rays).
Intensities are scaled so that the largest is 1000.

Structural model:
```
La2CdP2IrO2
1.0
4.141 0.000 0.000
0.000 4.141 0.000
0.000 0.000 8.629
La Cd P Ir O
2 1 2 1 2
Cartesian
0.000 2.071 1.195
2.071 0.000 7.434
0.000 0.000 4.314
0.000 2.071 5.738
2.071 0.000 2.891
2.071 2.071 4.314
0.000 0.000 0.000
2.071 2.071 0.000
```

Most intense lines, 2θ = 5–70°, sorted by position:
2θ/deg, I (rel.)
10.25, 316
20.59, 307
23.83, 362
29.91, 790
31.09, 315
32.28, 1000
37.11, 680
43.72, 562
52.70, 561
53.87, 296

---

Entry 9:
Structure and calculated X-ray powder pattern of Li2ZnCdSn2Ir2 (a cell relaxed with PBE; Cu Kα X-rays).
Intensities are scaled so that the largest is 1000.

Structural model:
```
Li2ZnCdSn2Ir2
1.0
4.514 0.000 0.000
0.000 4.514 0.000
0.000 0.000 6.422
Li Zn Cd Sn Ir
2 1 1 2 2
Cartesian
0.000 2.257 1.530
2.257 0.000 4.892
2.257 2.257 0.000
0.000 0.000 3.211
0.000 0.000 0.000
2.257 2.257 3.211
0.000 2.257 4.918
2.257 0.000 1.504
```

Most intense lines, 2θ = 5–70°, sorted by position:
2θ/deg, I (rel.)
24.10, 761
31.29, 19
39.82, 1000
39.94, 505
46.98, 122
47.19, 260
57.39, 81
57.77, 172
63.32, 102
63.50, 54

---

Entry 10:
Structure and calculated X-ray powder pattern of MgCd3Si2Ir2 (a cell relaxed with PBE; Cu Kα X-rays).
Intensities are scaled so that the largest is 1000.

Structural model:
```
MgCd3Si2Ir2
1.0
4.207 0.000 0.000
-2.104 3.644 0.000
0.000 0.000 9.133
Mg Cd Si Ir
1 3 2 2
Cartesian
0.000 0.000 0.000
0.000 0.000 6.037
0.000 2.429 1.407
0.000 2.429 4.613
2.104 1.215 2.968
2.104 1.215 7.667
0.000 0.000 2.990
0.000 2.429 7.662
```

Most intense lines, 2θ = 5–70°, sorted by position:
2θ/deg, I (rel.)
19.44, 121
24.43, 415
26.33, 248
38.53, 1000
42.99, 571
47.59, 72
50.07, 60
59.09, 282
59.77, 70
60.85, 63

---

Entry 11:
Structure and calculated X-ray powder pattern of Cd2Ir3O8 (a cell relaxed with PBE; Cu Kα X-rays).
Intensities are scaled so that the largest is 1000.

Structural model:
```
Cd2Ir3O8
1.0
5.373 -3.137 0.000
5.373 3.137 0.000
-1.823 0.000 4.907
Cd Ir O
2 3 8
Cartesian
2.012 0.000 0.748
6.911 0.000 4.158
4.461 1.599 2.453
5.373 0.000 0.000
4.461 -1.599 2.453
0.297 0.000 2.176
4.007 1.388 0.520
4.916 1.388 4.387
3.230 0.000 2.865
5.693 0.000 2.041
4.007 -1.388 0.520
4.916 -1.388 4.387
8.626 0.000 2.731
```

Most intense lines, 2θ = 5–70°, sorted by position:
2θ/deg, I (rel.)
17.61, 1000
26.88, 632
30.09, 633
33.66, 397
33.91, 983
34.64, 495
35.26, 759
35.65, 392
44.81, 451
54.87, 475

---

Entry 12:
Structure and calculated X-ray powder pattern of CdIr2O6 (a cell relaxed with PBE; Cu Kα X-rays).
Intensities are scaled so that the largest is 1000.

Structural model:
```
CdIr2O6
1.0
5.252 0.000 0.000
-2.626 4.548 0.000
0.000 0.000 4.654
Cd Ir O
1 2 6
Cartesian
0.000 0.000 0.000
0.000 3.032 2.327
2.626 1.516 2.327
-0.969 1.678 1.278
-1.657 2.870 3.376
1.938 0.000 1.278
0.969 1.678 3.376
3.314 0.000 3.376
1.657 2.870 1.278
```

Most intense lines, 2θ = 5–70°, sorted by position:
2θ/deg, I (rel.)
19.07, 328
27.42, 1000
34.15, 596
38.69, 115
39.40, 294
44.34, 263
52.55, 504
57.12, 254
61.13, 177
63.34, 90